Record 1
Simulated X-ray powder pattern
Compound: Sc2MnSbC
Radiation: Cu Kα (weighted mean of Kα1 and Kα2)
Structure: a cell relaxed with GGA-PBE

Main lines, sorted by position (10° ≤ 2θ ≤ 90°):
- 2θ 27.54, intensity 146
- 2θ 29.55, intensity 143
- 2θ 35.59, intensity 1000
- 2θ 39.35, intensity 437
- 2θ 45.07, intensity 145
- 2θ 56.86, intensity 138
- 2θ 61.34, intensity 216
- 2θ 68.91, intensity 264

Structure:
Cell: 4.580 4.580 4.023 Å, 90.00 90.00 90.00°
Fractional positions:
Sc  0.000  0.500  0.000
Sc  0.500  0.000  0.000
Mn  0.000  0.000  0.500
Sb  0.500  0.500  0.500
C  0.000  0.000  0.000

Record 2
Simulated X-ray powder pattern
Compound: Mn5SiC
Radiation: Cu Kα (weighted mean of Kα1 and Kα2)
Structure: a cell relaxed with GGA-PBE

Main lines, sorted by position (10° ≤ 2θ ≤ 90°):
- 2θ 43.30, intensity 1000
- 2θ 44.06, intensity 374
- 2θ 44.50, intensity 462
- 2θ 46.79, intensity 419
- 2θ 48.23, intensity 245
- 2θ 48.59, intensity 195
- 2θ 49.47, intensity 201
- 2θ 50.66, intensity 203

Structure:
Cell: 6.370 6.370 7.496 Å, 90.00 90.00 75.46°
Fractional positions:
Mn  0.014  0.682  0.063
Mn  0.014  0.682  0.437
Mn  0.036  0.964  0.750
Mn  0.203  0.563  0.750
Mn  0.318  0.986  0.063
Mn  0.318  0.986  0.437
Mn  0.364  0.636  0.250
Mn  0.375  0.375  0.000
Mn  0.375  0.375  0.500
Mn  0.437  0.797  0.750
Mn  0.563  0.203  0.250
Mn  0.625  0.625  0.000
Mn  0.625  0.625  0.500
Mn  0.636  0.364  0.750
Mn  0.682  0.014  0.563
Mn  0.682  0.014  0.937
Mn  0.797  0.437  0.250
Mn  0.964  0.036  0.250
Mn  0.986  0.318  0.563
Mn  0.986  0.318  0.937
Si  0.167  0.325  0.250
Si  0.325  0.167  0.750
Si  0.675  0.833  0.250
Si  0.833  0.675  0.750
C  0.303  0.697  0.533
C  0.303  0.697  0.967
C  0.697  0.303  0.033
C  0.697  0.303  0.467

Record 3
Simulated X-ray powder pattern
Compound: Mn8Si2C
Radiation: Cu Kα (weighted mean of Kα1 and Kα2)
Structure: a cell relaxed with GGA-PBE

Main lines, sorted by position (10° ≤ 2θ ≤ 90°):
- 2θ 42.48, intensity 455
- 2θ 43.17, intensity 366
- 2θ 45.51, intensity 422
- 2θ 46.89, intensity 1000
- 2θ 64.52, intensity 200
- 2θ 65.00, intensity 132
- 2θ 84.95, intensity 205
- 2θ 85.12, intensity 154

Structure:
Cell: 2.870 3.987 10.479 Å, 90.00 90.00 90.00°
Fractional positions:
Mn  0.000  0.000  0.000
Mn  0.000  0.000  0.376
Mn  0.000  0.000  0.624
Mn  0.000  0.500  0.195
Mn  0.000  0.500  0.805
Mn  0.500  0.500  0.000
Mn  0.500  0.500  0.384
Mn  0.500  0.500  0.616
Si  0.500  0.000  0.183
Si  0.500  0.000  0.817
C  0.500  0.000  0.500

Record 4
Simulated X-ray powder pattern
Compound: U2Mn4Si2C
Radiation: Cu Kα (weighted mean of Kα1 and Kα2)
Structure: a cell relaxed with GGA-PBE

Main lines, sorted by position (10° ≤ 2θ ≤ 90°):
- 2θ 22.13, intensity 797
- 2θ 32.50, intensity 419
- 2θ 39.06, intensity 230
- 2θ 39.67, intensity 1000
- 2θ 45.15, intensity 422
- 2θ 51.01, intensity 211
- 2θ 56.73, intensity 187
- 2θ 79.62, intensity 264

Structure:
Cell: 5.519 5.519 5.519 Å, 118.06 118.06 93.39°
Fractional positions:
U  0.211  0.211  0.000
U  0.789  0.789  0.000
Mn  0.251  0.251  0.502
Mn  0.251  0.749  0.000
Mn  0.749  0.251  0.000
Mn  0.749  0.749  0.498
Si  0.250  0.750  0.500
Si  0.750  0.250  0.500
C  0.500  0.500  0.000

Record 5
Simulated X-ray powder pattern
Compound: Sm2MnC4
Radiation: Cu Kα (weighted mean of Kα1 and Kα2)
Structure: a cell relaxed with GGA-PBE

Main lines, sorted by position (10° ≤ 2θ ≤ 90°):
- 2θ 27.53, intensity 1000
- 2θ 29.36, intensity 454
- 2θ 30.52, intensity 785
- 2θ 34.82, intensity 257
- 2θ 36.50, intensity 305
- 2θ 37.95, intensity 236
- 2θ 51.03, intensity 249
- 2θ 58.07, intensity 467

Structure:
Cell: 6.777 6.777 6.777 Å, 111.55 85.52 135.30°
Fractional positions:
Sm  0.145  0.159  0.304
Sm  0.355  0.659  0.015
Sm  0.645  0.341  0.985
Sm  0.855  0.841  0.696
Mn  0.250  0.750  0.500
Mn  0.750  0.250  0.500
C  0.079  0.667  0.746
C  0.126  0.836  0.962
C  0.374  0.336  0.711
C  0.421  0.167  0.589
C  0.579  0.833  0.411
C  0.626  0.664  0.289
C  0.874  0.164  0.038
C  0.921  0.333  0.254

Record 6
Simulated X-ray powder pattern
Compound: Mn6ZnSnC2
Radiation: Cu Kα (weighted mean of Kα1 and Kα2)
Structure: a cell relaxed with GGA-PBE

Main lines, sorted by position (10° ≤ 2θ ≤ 90°):
- 2θ 17.42, intensity 691
- 2θ 17.57, intensity 1000
- 2θ 35.25, intensity 306
- 2θ 35.57, intensity 660
- 2θ 39.65, intensity 289
- 2θ 39.89, intensity 581
- 2θ 50.95, intensity 407
- 2θ 54.31, intensity 225

Structure:
Cell: 5.048 5.048 10.183 Å, 90.00 90.00 90.00°
Fractional positions:
Mn  0.000  0.000  0.237
Mn  0.000  0.000  0.763
Mn  0.000  0.500  0.000
Mn  0.000  0.500  0.500
Mn  0.500  0.000  0.000
Mn  0.500  0.000  0.500
Zn  0.000  0.000  0.000
Sn  0.000  0.000  0.500
C  0.500  0.500  0.436
C  0.500  0.500  0.564

Record 7
Simulated X-ray powder pattern
Compound: Sr2MnC
Radiation: Cu Kα (weighted mean of Kα1 and Kα2)
Structure: a cell relaxed with GGA-PBE

Main lines, sorted by position (10° ≤ 2θ ≤ 90°):
- 2θ 26.04, intensity 512
- 2θ 29.67, intensity 1000
- 2θ 33.12, intensity 305
- 2θ 37.16, intensity 247
- 2θ 38.03, intensity 268
- 2θ 41.66, intensity 242
- 2θ 49.10, intensity 196
- 2θ 57.05, intensity 168

Structure:
Cell: 7.888 7.888 7.888 Å, 93.41 93.41 151.77°
Fractional positions:
Sr  0.375  0.183  0.308
Sr  0.817  0.125  0.192
Sr  0.875  0.067  0.692
Sr  0.933  0.625  0.808
Mn  0.250  0.750  0.500
Mn  0.500  0.500  0.000
C  0.000  0.000  0.000
C  0.750  0.250  0.500

Record 8
Simulated X-ray powder pattern
Compound: U2TaMn2C4
Radiation: Cu Kα (weighted mean of Kα1 and Kα2)
Structure: a cell relaxed with GGA-PBE

Main lines, sorted by position (10° ≤ 2θ ≤ 90°):
- 2θ 28.68, intensity 957
- 2θ 30.00, intensity 988
- 2θ 33.18, intensity 895
- 2θ 35.79, intensity 716
- 2θ 37.57, intensity 888
- 2θ 42.02, intensity 1000
- 2θ 43.98, intensity 575
- 2θ 46.04, intensity 466

Structure:
Cell: 6.801 6.801 5.566 Å, 103.62 103.62 26.01°
Fractional positions:
U  0.127  0.127  0.034
U  0.873  0.873  0.966
Ta  0.000  0.000  0.500
Mn  0.320  0.320  0.469
Mn  0.680  0.680  0.531
C  0.240  0.240  0.731
C  0.457  0.457  0.742
C  0.543  0.543  0.258
C  0.760  0.760  0.269